RbMnVO4: computed X-ray powder pattern (Cu Kα (weighted mean of Kα1 and Kα2)), based on a structure optimized by DFT (PBE+U).

Most intense lines, 2θ from 10° to 90°, low angle first:
- 2θ 20.3, rel. 7, (2 0 1)
- 2θ 25.6, rel. 28, (1 2 1)
- 2θ 26.4, rel. 100, (2 0 2)
- 2θ 31.1, rel. 60, (2 2 0)
- 2θ 39.2, rel. 8, (0 0 4)
- 2θ 41.3, rel. 13, (4 0 2)
- 2θ 46.7, rel. 6, (5 0 1)
- 2θ 49.8, rel. 13, (3 2 3)
- 2θ 50.9, rel. 8, (2 2 4)
- 2θ 52.6, rel. 15, (2 4 2)
- 2θ 55.4, rel. 11, (6 0 0)
- 2θ 69.5, rel. 8, (2 2 6)

Atomic structure:
```
data_RbMnVO4
_cell_length_a 11.4930
_cell_length_b 11.4930
_cell_length_c 9.1957
_cell_angle_alpha 90.00
_cell_angle_beta 90.00
_cell_angle_gamma 120.00
_space_group_name_H-M_alt 'P 63'
_space_group_IT_number 173
loop_
_space_group_symop_operation_xyz
'x,y,z'
'x-y,x,z+1/2'
'-y,x-y,z'
'-x,-y,z+1/2'
'-x+y,-x,z'
'y,-x+y,z+1/2'
loop_
_atom_site_label
_atom_site_type_symbol
_atom_site_fract_x
_atom_site_fract_y
_atom_site_fract_z
_atom_site_occupancy
Rb1 Rb 0.0000 0.0000 0.0000 1
Rb2 Rb 0.0470 0.5294 0.0101 1
Mn1 Mn 0.1636 0.3294 0.3152 1
Mn2 Mn 0.3333 0.6667 0.6770 1
V1 V 0.1586 0.3323 0.7069 1
V2 V 0.3333 0.6667 0.2685 1
O1 O 0.0134 0.8196 0.7335 1
O2 O 0.0281 0.3181 0.8171 1
O3 O 0.1116 0.3323 0.5268 1
O4 O 0.1773 0.6934 0.7447 1
O5 O 0.2325 0.5036 0.2010 1
O6 O 0.3333 0.6667 0.4557 1
```